CsRuN2: calculated powder XRD pattern (Cu Kα X-rays), based on the GGA-PBE geometry in the Materials Project.
Neutral-atom scattering factors, no anomalous dispersion.

Crystal structure
```
data_CsRuN2
_chemical_formula_sum 'Cs10 Ru10 N20'
_cell_length_a 8.8158
_cell_length_b 10.5211
_cell_length_c 10.5475
_cell_angle_alpha 79.90
_cell_angle_beta 65.32
_cell_angle_gamma 65.35
_symmetry_space_group_name_H-M 'P 1'
_symmetry_Int_Tables_number 1
loop_
_symmetry_equiv_pos_as_xyz
'x,y,z'
loop_
_atom_site_label
_atom_site_fract_x
_atom_site_fract_y
_atom_site_fract_z
Cs1 0.0000 0.0000 0.0000
Cs2 0.0428 0.3049 0.0983
Cs3 0.1956 0.2009 0.3967
Cs4 0.2444 0.4993 0.5007
Cs5 0.3971 0.4021 0.7994
Cs6 0.4505 0.7015 0.8974
Cs7 0.5917 0.6032 0.2022
Cs8 0.6471 0.9021 0.2995
Cs9 0.7984 0.8042 0.5989
Cs10 0.8478 0.1028 0.7016
Ru1 0.0974 0.6018 0.1988
Ru2 0.1465 0.9021 0.2995
Ru3 0.2960 0.8015 0.5996
Ru4 0.3464 0.1019 0.6988
Ru5 0.4954 0.0028 0.9993
Ru6 0.5476 0.3013 0.0997
Ru7 0.6965 0.2024 0.4001
Ru8 0.7471 0.5028 0.4992
Ru9 0.8962 0.4022 0.7994
Ru10 0.9456 0.7023 0.9000
N1 0.0216 0.6518 0.0494
N2 0.1205 0.7520 0.7496
N3 0.1214 0.2526 0.7481
N4 0.1221 0.7527 0.2478
N5 0.2220 0.8507 0.4490
N6 0.3202 0.9535 0.1500
N7 0.3206 0.9520 0.6494
N8 0.3226 0.4521 0.1496
N9 0.4206 0.0521 0.8494
N10 0.5213 0.1521 0.0498
N11 0.5212 0.1524 0.5495
N12 0.5215 0.6522 0.5491
N13 0.6226 0.2522 0.2494
N14 0.7206 0.8522 0.9495
N15 0.7227 0.3505 0.9489
N16 0.7227 0.3522 0.4494
N17 0.8205 0.4537 0.6501
N18 0.9212 0.0514 0.3510
N19 0.9207 0.5516 0.8509
N20 0.9228 0.5521 0.3494
```

Main lines, low angle first (10° ≤ 2θ ≤ 90°):
(hkl), d (Å), I/Imax
2 0 -1, 3.073, 100
2 3 0, 3.069, 100
0 3 1, 3.027, 96
4 2 2, 2.204, 15
0 2 4, 2.143, 14
4 1 5, 1.782, 30
2 1 6, 1.757, 48
2 6 1, 1.755, 29
4 4 6, 1.536, 22
6 5 2, 1.390, 17

MgSi: calculated powder XRD pattern (Cu Kα X-rays), based on the GGA-PBE geometry in the Materials Project.
Neutral-atom scattering factors, no anomalous dispersion.

Crystal structure
```
data_MgSi
_chemical_formula_sum 'Mg6 Si6'
_cell_length_a 5.0458
_cell_length_b 5.0510
_cell_length_c 9.2602
_cell_angle_alpha 97.57
_cell_angle_beta 94.35
_cell_angle_gamma 104.74
_symmetry_space_group_name_H-M 'P 1'
_symmetry_Int_Tables_number 1
loop_
_symmetry_equiv_pos_as_xyz
'x,y,z'
loop_
_atom_site_label
_atom_site_fract_x
_atom_site_fract_y
_atom_site_fract_z
Mg1 0.0000 0.0000 0.0000
Mg2 0.0624 0.1024 0.6733
Mg3 0.2290 0.7111 0.2318
Mg4 0.6096 0.3707 0.1009
Mg5 0.6868 0.4698 0.7656
Mg6 0.7826 0.5606 0.4415
Si1 0.1768 0.5323 0.9398
Si2 0.2499 0.2557 0.3532
Si3 0.2846 0.6541 0.5966
Si4 0.4770 0.9146 0.8484
Si5 0.5529 0.0392 0.4954
Si6 0.7955 0.9719 0.2724
```

Main lines, low angle first (10° ≤ 2θ ≤ 90°):
(hkl), d (Å), I/Imax
0 1 -3, 2.775, 32
1 1 -2, 2.750, 73
1 0 3, 2.453, 60
2 -1 0, 2.444, 48
1 -2 0, 2.435, 40
2 0 -1, 2.413, 41
-1 1 3, 2.379, 100
1 1 -3, 2.359, 25
2 -1 1, 2.340, 22
1 -2 2, 2.246, 55

Sr2Ca3Cu4Bi2O12: calculated powder XRD pattern (Cu Kα X-rays), based on the GGA-PBE geometry in the Materials Project.
Neutral-atom scattering factors, no anomalous dispersion.

Crystal structure
```
data_Sr2Ca3Cu4Bi2O12
_chemical_formula_sum 'Sr4 Ca6 Cu8 Bi4 O24'
_cell_length_a 3.8150
_cell_length_b 3.8150
_cell_length_c 44.3466
_cell_angle_alpha 90.00
_cell_angle_beta 90.00
_cell_angle_gamma 90.00
_symmetry_space_group_name_H-M 'I 4/m m m'
_symmetry_Int_Tables_number 139
_symmetry_space_group_name_Hall '-I 4 2'
loop_
_atom_site_label
_atom_site_fract_x
_atom_site_fract_y
_atom_site_fract_z
Sr1 0.0000 0.0000 0.1512
Ca1 0.0000 0.0000 0.0000
Ca2 0.0000 0.0000 0.0742
Cu1 0.0000 0.0000 0.3910
Cu2 0.0000 0.0000 0.4629
Bi1 0.0000 0.0000 0.2834
O1 0.0000 0.0000 0.2171
O2 0.0000 0.0000 0.3299
O3 0.0000 0.5000 0.0368
O4 0.0000 0.5000 0.1104
```

Main lines, low angle first (10° ≤ 2θ ≤ 90°):
(hkl), d (Å), I/Imax
0 0 12, 3.695, 29
1 0 5, 3.505, 35
1 0 7, 3.268, 89
1 0 9, 3.017, 80
0 0 16, 2.771, 55
1 1 0, 2.698, 100
1 0 13, 2.543, 31
1 1 16, 1.933, 32
2 0 0, 1.907, 57
2 0 16, 1.571, 30

BaSeO4: calculated powder XRD pattern (Cu Kα X-rays), based on the GGA-PBE geometry in the Materials Project.
Neutral-atom scattering factors, no anomalous dispersion.

Crystal structure
```
data_BaSeO4
_chemical_formula_sum 'Ba4 Se4 O16'
_cell_length_a 9.1841
_cell_length_b 5.8259
_cell_length_c 7.5106
_cell_angle_alpha 90.00
_cell_angle_beta 90.00
_cell_angle_gamma 90.00
_symmetry_space_group_name_H-M 'P n m a'
_symmetry_Int_Tables_number 62
loop_
_symmetry_equiv_pos_as_xyz
'x,y,z'
'-x,-y,-z'
'-x+1/2,-y,z+1/2'
'x+1/2,y,-z+1/2'
'x+1/2,-y+1/2,-z+1/2'
'-x+1/2,y+1/2,z+1/2'
'-x,y+1/2,-z'
'x,-y+1/2,z'
loop_
_atom_site_label
_atom_site_fract_x
_atom_site_fract_y
_atom_site_fract_z
Ba1 0.1829 0.2500 0.1576
Se1 0.0626 0.2500 0.6839
O1 0.0800 0.0167 0.8148
O2 0.1022 0.7500 0.4074
O3 0.1983 0.2500 0.5355
```

Main lines, low angle first (10° ≤ 2θ ≤ 90°):
(hkl), d (Å), I/Imax
0 0 2, 3.755, 26
2 1 0, 3.606, 94
1 0 2, 3.476, 52
2 1 1, 3.251, 100
1 1 2, 2.985, 68
0 2 0, 2.913, 54
1 2 2, 2.232, 68
4 0 1, 2.196, 67
4 2 1, 1.754, 35
3 2 3, 1.614, 25

CeNiSn: calculated powder XRD pattern (Cu Kα X-rays), based on the GGA-PBE geometry in the Materials Project.
Neutral-atom scattering factors, no anomalous dispersion.

Crystal structure
```
data_CeNiSn
_chemical_formula_sum 'Ce4 Ni4 Sn4'
_cell_length_a 7.4050
_cell_length_b 4.5839
_cell_length_c 7.5580
_cell_angle_alpha 90.00
_cell_angle_beta 90.00
_cell_angle_gamma 90.00
_symmetry_space_group_name_H-M 'P n m a'
_symmetry_Int_Tables_number 62
loop_
_symmetry_equiv_pos_as_xyz
'x,y,z'
'-x,-y,-z'
'-x+1/2,-y,z+1/2'
'x+1/2,y,-z+1/2'
'x+1/2,-y+1/2,-z+1/2'
'-x+1/2,y+1/2,z+1/2'
'-x,y+1/2,-z'
'x,-y+1/2,z'
loop_
_atom_site_label
_atom_site_fract_x
_atom_site_fract_y
_atom_site_fract_z
Ce1 0.0203 0.2500 0.1976
Ni1 0.2005 0.7500 0.4219
Sn1 0.1835 0.2500 0.5921
```

Main lines, low angle first (10° ≤ 2θ ≤ 90°):
(hkl), d (Å), I/Imax
1 1 2, 2.713, 56
2 1 1, 2.691, 100
2 0 2, 2.645, 35
3 0 1, 2.346, 30
0 2 0, 2.292, 44
0 1 3, 2.208, 50
2 2 2, 1.732, 20
3 2 1, 1.640, 20
3 1 4, 1.426, 24
5 1 2, 1.320, 14

LiNd2O6: calculated powder XRD pattern (Cu Kα X-rays), based on the GGA-PBE geometry in the Materials Project.
Neutral-atom scattering factors, no anomalous dispersion.

Crystal structure
```
data_LiNd2O6
_chemical_formula_sum 'Li2 Nd4 O12'
_cell_length_a 13.6285
_cell_length_b 4.5486
_cell_length_c 4.6916
_cell_angle_alpha 90.00
_cell_angle_beta 109.74
_cell_angle_gamma 90.00
_symmetry_space_group_name_H-M 'C 1 2/m 1'
_symmetry_Int_Tables_number 12
loop_
_symmetry_equiv_pos_as_xyz
'x,y,z'
'-x,-y,-z'
'-x,y,-z'
'x,-y,z'
'x+1/2,y+1/2,z'
'-x+1/2,-y+1/2,-z'
'-x+1/2,y+1/2,-z'
'x+1/2,-y+1/2,z'
loop_
_atom_site_label
_atom_site_fract_x
_atom_site_fract_y
_atom_site_fract_z
Li1 0.0000 0.0000 0.0000
Nd1 0.1799 0.5000 0.1460
O1 0.0057 0.5000 0.1648
O2 0.1438 0.0000 0.9713
O3 0.2304 0.5000 0.6958
```

Main lines, low angle first (10° ≤ 2θ ≤ 90°):
(hkl), d (Å), I/Imax
2 0 0, 6.414, 100
0 0 1, 4.414, 70
1 1 0, 4.287, 43
1 1 -1, 3.266, 70
2 0 1, 3.171, 34
4 0 -1, 3.149, 34
3 1 0, 3.115, 55
0 2 0, 2.274, 33
5 1 0, 2.235, 33
1 1 2, 1.879, 30

DyNbO4: calculated powder XRD pattern (Cu Kα X-rays), based on the GGA-PBE geometry in the Materials Project.
Neutral-atom scattering factors, no anomalous dispersion.

Crystal structure
```
data_DyNbO4
_chemical_formula_sum 'Dy2 Nb2 O8'
_cell_length_a 5.1668
_cell_length_b 5.5232
_cell_length_c 5.3566
_cell_angle_alpha 90.00
_cell_angle_beta 96.02
_cell_angle_gamma 90.00
_symmetry_space_group_name_H-M 'P 1 2/c 1'
_symmetry_Int_Tables_number 13
loop_
_symmetry_equiv_pos_as_xyz
'x,y,z'
'-x,-y,-z'
'-x,y,-z+1/2'
'x,-y,z+1/2'
loop_
_atom_site_label
_atom_site_fract_x
_atom_site_fract_y
_atom_site_fract_z
Dy1 0.0000 0.2394 0.2500
Nb1 0.5000 0.2997 0.7500
O1 0.2495 0.0821 0.5970
O2 0.2654 0.4366 0.9900
```

Main lines, low angle first (10° ≤ 2θ ≤ 90°):
(hkl), d (Å), I/Imax
1 1 -1, 3.191, 100
1 1 1, 2.968, 82
0 2 0, 2.762, 20
0 0 2, 2.664, 22
2 0 0, 2.569, 16
2 0 -2, 1.954, 17
0 2 2, 1.917, 25
2 2 0, 1.881, 26
1 1 -3, 1.656, 16
3 1 -1, 1.610, 13

Tb2Si4Mo3: calculated powder XRD pattern (Cu Kα X-rays), based on the GGA-PBE geometry in the Materials Project.
Neutral-atom scattering factors, no anomalous dispersion.

Crystal structure
```
data_Tb2Si4Mo3
_chemical_formula_sum 'Tb4 Si8 Mo6'
_cell_length_a 6.8899
_cell_length_b 6.9504
_cell_length_c 6.7681
_cell_angle_alpha 90.00
_cell_angle_beta 108.96
_cell_angle_gamma 90.00
_symmetry_space_group_name_H-M 'P 1 21/c 1'
_symmetry_Int_Tables_number 14
loop_
_symmetry_equiv_pos_as_xyz
'x,y,z'
'-x,-y,-z'
'-x,y+1/2,-z+1/2'
'x,-y+1/2,z+1/2'
loop_
_atom_site_label
_atom_site_fract_x
_atom_site_fract_y
_atom_site_fract_z
Tb1 0.1904 0.1685 0.0607
Si1 0.0908 0.5449 0.8696
Si2 0.4948 0.6323 0.6294
Mo1 0.2493 0.6628 0.2504
Mo2 0.5000 0.0000 0.5000
```

Main lines, low angle first (10° ≤ 2θ ≤ 90°):
(hkl), d (Å), I/Imax
0 2 1, 3.054, 27
1 1 -2, 3.005, 30
1 2 -1, 2.948, 35
1 2 1, 2.614, 36
2 1 -2, 2.580, 38
2 2 -1, 2.423, 100
1 1 2, 2.404, 96
2 2 0, 2.377, 32
0 3 1, 2.179, 49
1 1 -3, 2.146, 43

Al4InCuS8: calculated powder XRD pattern (Cu Kα X-rays), based on the GGA-PBE geometry in the Materials Project.
Neutral-atom scattering factors, no anomalous dispersion.

Crystal structure
```
data_Al4InCuS8
_chemical_formula_sum 'Al12 In3 Cu3 S24'
_cell_length_a 7.1720
_cell_length_b 7.1720
_cell_length_c 17.8011
_cell_angle_alpha 90.00
_cell_angle_beta 90.00
_cell_angle_gamma 120.00
_symmetry_space_group_name_H-M 'R 3 m'
_symmetry_Int_Tables_number 160
_symmetry_space_group_name_Hall 'R 3 -2"'
loop_
_atom_site_label
_atom_site_fract_x
_atom_site_fract_y
_atom_site_fract_z
Al1 0.0000 0.0000 0.0000
Al2 0.0194 0.5097 0.1269
In1 0.0000 0.0000 0.6199
Cu1 0.0000 0.0000 0.2509
S1 0.0000 0.0000 0.3815
S2 0.0000 0.0000 0.8674
S3 0.0121 0.5060 0.3828
S4 0.1705 0.3410 0.2000
```

Main lines, low angle first (10° ≤ 2θ ≤ 90°):
(hkl), d (Å), I/Imax
1 0 1, 5.864, 44
0 1 2, 5.094, 30
1 1 0, 3.586, 55
0 1 5, 3.089, 43
1 1 3, 3.069, 100
0 2 4, 2.547, 80
1 2 5, 1.960, 28
0 3 3, 1.955, 27
2 0 8, 1.809, 59
2 2 0, 1.793, 62

Lu3Sb4Au3: calculated powder XRD pattern (Cu Kα X-rays), based on the GGA-PBE geometry in the Materials Project.
Neutral-atom scattering factors, no anomalous dispersion.

Crystal structure
```
data_Lu3Sb4Au3
_chemical_formula_sum 'Lu12 Sb16 Au12'
_cell_length_a 9.8590
_cell_length_b 9.8590
_cell_length_c 9.8590
_cell_angle_alpha 90.00
_cell_angle_beta 90.00
_cell_angle_gamma 90.00
_symmetry_space_group_name_H-M 'I -4 3 d'
_symmetry_Int_Tables_number 220
_symmetry_space_group_name_Hall 'I -4bd 2c 3'
loop_
_atom_site_label
_atom_site_fract_x
_atom_site_fract_y
_atom_site_fract_z
Lu1 0.0000 0.2500 0.8750
Sb1 0.0894 0.4106 0.5894
Au1 0.0000 0.2500 0.3750
```

Main lines, low angle first (10° ≤ 2θ ≤ 90°):
(hkl), d (Å), I/Imax
2 1 1, 4.025, 20
2 2 0, 3.486, 12
3 2 1, 2.635, 100
4 2 0, 2.205, 50
4 2 2, 2.012, 13
5 2 1, 1.800, 17
6 3 1, 1.454, 11
4 4 4, 1.423, 12
6 4 0, 1.367, 11
5 5 2, 1.342, 12